Simulated XRD peak list of LaV3Mo for CuKα, from a cell relaxed with PBE.

Structure:
```
data_LaV3Mo
_chemical_formula_sum 'La1 V3 Mo1'
_symmetry_space_group_name_H-M 'P 1'
_symmetry_Int_Tables_number 1
_symmetry_space_group_name_Hall 'P 1'
_cell_length_a 4.7720
_cell_length_b 4.7720
_cell_length_c 4.7720
_cell_angle_alpha 90.00
_cell_angle_beta 90.00
_cell_angle_gamma 90.00
loop_
_atom_site_label
_atom_site_type_symbol
_atom_site_fract_x
_atom_site_fract_y
_atom_site_fract_z
La1 La 0.0000 0.0000 0.0000
V1 V 0.0000 0.5000 0.5000
V2 V 0.5000 0.0000 0.5000
V3 V 0.5000 0.5000 0.0000
Mo1 Mo 0.5000 0.5000 0.5000
```

Largest 8 diffraction maxima, in order of rising 2θ, 10° ≤ 2θ ≤ 90°:
| Position (°2θ) | I_rel |
| --- | --- |
| 26.41 | 100 |
| 32.50 | 42 |
| 37.70 | 85 |
| 46.62 | 43 |
| 54.38 | 56 |
| 61.44 | 19 |
| 68.06 | 18 |
| 74.38 | 22 |